Record 1
Starting from a structure optimized by DFT (GGA-PBE), the XRD peak list of TiS2 was simulated for Cu Kα (λ = 1.5418 Å).
Kinematic intensities with the Lorentz-polarization factor, no thermal factor.

Principal peaks in the range 2θ from 15° to 90°, by angle:
d/Å	I_rel
5.638	75
2.829	61
2.721	44
2.570	100
2.435	46
2.273	66
2.142	21
2.091	23
1.836	33
1.705	50

```
TiS2
1.0
2.962 -1.710 0.000
2.962 1.710 0.000
-1.079 0.000 11.276
Ti S
1 2
Direct
0.000 0.000 0.000 Ti
0.310 0.310 0.875 S
0.690 0.690 0.125 S
```

Record 2
Starting from a structure optimized by DFT (GGA-PBE), the XRD peak list of TiSbRu was simulated for Cu Kα (λ = 1.5418 Å).
Kinematic intensities with the Lorentz-polarization factor, no thermal factor.

Principal peaks in the range 2θ from 15° to 90°, by angle:
d/Å	I_rel
3.556	56
3.080	8
2.178	100
1.857	27
1.778	2
1.540	16
1.413	11
1.377	2
1.257	32
1.185	8

```
TiSbRu
1.0
0.000 3.080 3.080
3.080 0.000 3.080
3.080 3.080 0.000
Ti Sb Ru
1 1 1
Direct
0.000 0.000 0.000 Ti
0.500 0.500 0.500 Sb
0.750 0.750 0.750 Ru
```

Record 3
Starting from a structure optimized by DFT (GGA-PBE), the XRD peak list of Na2Al2As3 was simulated for Cu Kα (λ = 1.5418 Å).
Kinematic intensities with the Lorentz-polarization factor, no thermal factor.

Principal peaks in the range 2θ from 15° to 90°, by angle:
d/Å	I_rel
3.785	77
3.648	48
3.579	100
3.397	67
3.017	81
2.999	46
2.950	52
2.936	50
2.911	56
2.627	69

```
Na2Al2As3
1.0
13.222 0.000 0.000
0.000 6.780 0.000
-0.084 0.000 14.593
Na Al As
16 16 24
Direct
0.066 0.099 0.415 Na
0.066 0.401 0.915 Na
0.150 0.589 0.481 Na
0.150 0.911 0.981 Na
0.362 0.054 0.491 Na
0.362 0.446 0.991 Na
0.414 0.548 0.393 Na
0.414 0.952 0.893 Na
0.586 0.048 0.107 Na
0.586 0.452 0.607 Na
0.638 0.554 0.009 Na
0.638 0.946 0.509 Na
0.850 0.089 0.019 Na
0.850 0.411 0.519 Na
0.934 0.599 0.085 Na
0.934 0.901 0.585 Na
0.089 0.736 0.241 Al
0.089 0.764 0.741 Al
0.184 0.212 0.166 Al
0.184 0.288 0.666 Al
0.311 0.737 0.173 Al
0.311 0.763 0.673 Al
0.406 0.203 0.230 Al
0.406 0.297 0.730 Al
0.594 0.703 0.270 Al
0.594 0.797 0.770 Al
0.689 0.237 0.327 Al
0.689 0.263 0.827 Al
0.816 0.712 0.334 Al
0.816 0.788 0.834 Al
0.911 0.236 0.259 Al
0.911 0.264 0.759 Al
0.020 0.030 0.157 As
0.020 0.470 0.657 As
0.161 0.549 0.105 As
0.161 0.951 0.605 As
0.247 0.663 0.830 As
0.247 0.837 0.330 As
0.250 0.211 0.326 As
0.250 0.289 0.826 As
0.338 0.046 0.086 As
0.338 0.454 0.586 As
0.466 0.530 0.173 As
0.466 0.970 0.673 As
0.534 0.030 0.327 As
0.534 0.470 0.827 As
0.662 0.546 0.414 As
0.662 0.954 0.914 As
0.750 0.711 0.174 As
0.750 0.789 0.674 As
0.753 0.163 0.670 As
0.753 0.337 0.170 As
0.839 0.049 0.395 As
0.839 0.451 0.895 As
0.980 0.530 0.343 As
0.980 0.970 0.843 As
```